# 1
# FeSeO5
Calculated PXRD pattern, CuKα. Input: a DFT-relaxed cell (PBE+U, the Materials Project).
Peak positions follow from Bragg's law for the DFT cell and can differ from measured ones.

Main lines, in order of rising 2θ (2θ from 15° to 90°):
two_theta  Rel. int.  index
15.81  100  0 1 1
22.32  39  1 1 -2
23.84  59  0 2 1
26.33  28  0 1 2
28.89  19  1 1 1
30.94  58  2 1 -2
33.34  19  0 3 1
36.28  17  1 2 -3
39.55  24  1 1 2
41.71  22  0 4 0

Crystal structure
```
data_FeSeO5
_symmetry_space_group_name_H-M 'P 1 21/c 1'
_symmetry_Int_Tables_number 14
_cell_length_a 6.164
_cell_length_b 8.662
_cell_length_c 9.122
_cell_angle_alpha 90.00
_cell_angle_beta 126.28
_cell_angle_gamma 90.00
loop_
_symmetry_equiv_pos_as_xyz
'x,y,z'
'-x,-y,-z'
'-x,y+1/2,-z+1/2'
'x,-y+1/2,z+1/2'
loop_
_atom_site_label
_atom_site_type_symbol
_atom_site_fract_x
_atom_site_fract_y
_atom_site_fract_z
Fe1 Fe 0.175 0.153 0.034
Se1 Se 0.222 0.622 0.307
O1 O 0.091 0.698 0.733
O2 O 0.132 0.577 0.459
O3 O 0.186 0.161 0.595
O4 O 0.418 0.121 0.263
O5 O 0.449 0.167 0.998
```



# 2
# Fe3Se3O10
Calculated PXRD pattern, CuKα. Input: a DFT-relaxed cell (PBE+U, the Materials Project).
Peak positions follow from Bragg's law for the DFT cell and can differ from measured ones.

Main lines, in order of rising 2θ (2θ from 15° to 90°):
two_theta  Rel. int.  index
20.99  56  1 1 2
23.14  30  1 1 -1
23.64  37  1 -1 1
26.07  31  2 2 1
27.59  84  2 2 2
29.55  100  -1 2 1
30.74  48  2 1 -1
32.45  87  1 -1 2
40.69  31  3 1 -1
53.76  34  2 -3 1

Crystal structure
```
data_Fe3Se3O10
_symmetry_space_group_name_H-M 'P -1'
_symmetry_Int_Tables_number 2
_cell_length_a 8.332
_cell_length_b 8.333
_cell_length_c 8.613
_cell_angle_alpha 62.51
_cell_angle_beta 70.05
_cell_angle_gamma 68.92
loop_
_symmetry_equiv_pos_as_xyz
'x,y,z'
'-x,-y,-z'
loop_
_atom_site_label
_atom_site_type_symbol
_atom_site_fract_x
_atom_site_fract_y
_atom_site_fract_z
Fe1 Fe 0.000 0.000 0.000
Fe2 Fe 0.029 0.663 0.797
Fe3 Fe 0.138 0.273 0.601
Fe4 Fe 0.500 0.500 0.500
Se1 Se 0.231 0.567 0.230
Se2 Se 0.323 0.206 0.944
Se3 Se 0.329 0.822 0.697
O1 O 0.044 0.469 0.324
O2 O 0.109 0.134 0.290
O3 O 0.112 0.783 0.231
O4 O 0.143 0.798 0.877
O5 O 0.154 0.408 0.969
O6 O 0.217 0.130 0.859
O7 O 0.274 0.692 0.619
O8 O 0.281 0.044 0.549
O9 O 0.306 0.449 0.428
O10 O 0.475 0.301 0.764
```



# 3
# FeSe2O6
Calculated PXRD pattern, CuKα. Input: a DFT-relaxed cell (PBE+U, the Materials Project).
Peak positions follow from Bragg's law for the DFT cell and can differ from measured ones.

Main lines, in order of rising 2θ (2θ from 15° to 90°):
two_theta  Rel. int.  index
16.29  72  2 0 0
23.11  22  2 2 0
23.82  100  2 0 2
25.88  52  3 1 0
31.29  38  3 1 2
31.96  25  2 1 3
32.91  16  4 0 0
39.26  36  3 3 2
41.04  17  4 2 2
48.77  20  4 0 4

Crystal structure
```
data_FeSe2O6
_symmetry_space_group_name_H-M 'I -4 2 d'
_symmetry_Int_Tables_number 122
_symmetry_space_group_name_Hall 'I -4 2bw'
_cell_length_a 10.885
_cell_length_b 10.885
_cell_length_c 10.270
_cell_angle_alpha 90.00
_cell_angle_beta 90.00
_cell_angle_gamma 90.00
loop_
_atom_site_label
_atom_site_type_symbol
_atom_site_fract_x
_atom_site_fract_y
_atom_site_fract_z
Fe1 Fe 0.209 0.750 0.125
Se1 Se 0.057 0.736 0.845
O1 O 0.077 0.701 0.254
O2 O 0.082 0.208 0.792
O3 O 0.156 0.687 0.504
```



# 4
# FeSe3O9
Calculated PXRD pattern, CuKα. Input: a DFT-relaxed cell (PBE+U, the Materials Project).
Peak positions follow from Bragg's law for the DFT cell and can differ from measured ones.

Main lines, in order of rising 2θ (2θ from 15° to 90°):
two_theta  Rel. int.  index
16.13  53  1 1 0
17.91  26  0 2 1
22.19  46  0 1 2
24.27  100  0 3 1
26.31  80  2 1 -3
29.95  27  2 1 0
31.34  27  1 4 -1
32.58  27  2 2 0
33.92  35  3 0 -2
44.09  28  3 3 -1

Crystal structure
```
data_FeSe3O9
_symmetry_space_group_name_H-M 'P 1 21/c 1'
_symmetry_Int_Tables_number 14
_cell_length_a 8.124
_cell_length_b 12.201
_cell_length_c 11.199
_cell_angle_alpha 90.00
_cell_angle_beta 130.77
_cell_angle_gamma 90.00
loop_
_symmetry_equiv_pos_as_xyz
'x,y,z'
'-x,-y,-z'
'-x,y+1/2,-z+1/2'
'x,-y+1/2,z+1/2'
loop_
_atom_site_label
_atom_site_type_symbol
_atom_site_fract_x
_atom_site_fract_y
_atom_site_fract_z
Fe1 Fe 0.050 0.197 0.281
Se1 Se 0.197 0.040 0.958
Se2 Se 0.219 0.143 0.635
Se3 Se 0.417 0.677 0.891
O1 O 0.003 0.056 0.163
O2 O 0.039 0.229 0.612
O3 O 0.053 0.160 0.870
O4 O 0.107 0.096 0.455
O5 O 0.256 0.034 0.132
O6 O 0.275 0.706 0.344
O7 O 0.306 0.046 0.765
O8 O 0.375 0.197 0.414
O9 O 0.448 0.221 0.693
```



# 5
# Sm4FeSe6O
Calculated PXRD pattern, CuKα. Input: a DFT-relaxed cell (PBE+U, the Materials Project).
Peak positions follow from Bragg's law for the DFT cell and can differ from measured ones.

Main lines, in order of rising 2θ (2θ from 15° to 90°):
two_theta  Rel. int.  index
25.02  66  2 0 1
31.34  66  2 1 1
33.61  100  2 0 2
34.98  77  3 0 1
37.65  57  2 2 0
38.67  26  2 1 2
44.72  33  2 0 3
51.38  20  3 0 3
57.89  20  3 3 0
63.24  19  3 2 3

Crystal structure
```
data_Sm4FeSe6O
_symmetry_space_group_name_H-M 'P 63 m c'
_symmetry_Int_Tables_number 186
_symmetry_space_group_name_Hall 'P 6c -2c'
_cell_length_a 9.5572
_cell_length_b 9.5572
_cell_length_c 6.9718
_cell_angle_alpha 90.00
_cell_angle_beta 90.00
_cell_angle_gamma 120.00
loop_
_atom_site_label
_atom_site_type_symbol
_atom_site_fract_x
_atom_site_fract_y
_atom_site_fract_z
Sm1 Sm 0.2007 0.4015 0.0000
Sm2 Sm 0.3333 0.6667 0.5490
Fe1 Fe 0.0000 0.0000 0.3371
Se1 Se 0.0627 0.5313 0.2863
Se2 Se 0.1262 0.2523 0.6073
O1 O 0.3333 0.6667 0.8818
```



# 6
# SrFe2Se4O12
Calculated PXRD pattern, CuKα. Input: a DFT-relaxed cell (PBE+U, the Materials Project).
Peak positions follow from Bragg's law for the DFT cell and can differ from measured ones.

Main lines, in order of rising 2θ (2θ from 15° to 90°):
two_theta  Rel. int.  index
17.53  22  1 0 1
23.97  100  1 1 1
27.24  60  2 0 -1
27.73  54  1 0 2
29.65  32  2 1 0
31.73  89  1 1 -2
32.78  43  0 2 0
40.97  26  3 1 0
43.14  29  2 2 -1
43.46  27  1 2 2

Crystal structure
```
data_SrFe2Se4O12
_symmetry_space_group_name_H-M 'P 1 2/m 1'
_symmetry_Int_Tables_number 10
_cell_length_a 7.225
_cell_length_b 5.464
_cell_length_c 7.293
_cell_angle_alpha 90.00
_cell_angle_beta 91.64
_cell_angle_gamma 90.00
loop_
_symmetry_equiv_pos_as_xyz
'x,y,z'
'-x,-y,-z'
'-x,y,-z'
'x,-y,z'
loop_
_atom_site_label
_atom_site_type_symbol
_atom_site_fract_x
_atom_site_fract_y
_atom_site_fract_z
Sr1 Sr 0.000 0.000 0.000
Fe1 Fe 0.000 0.000 0.500
Fe2 Fe 0.500 0.500 0.000
Se1 Se 0.204 0.500 0.388
Se2 Se 0.411 0.000 0.778
O1 O 0.068 0.255 0.305
O2 O 0.268 0.000 0.585
O3 O 0.318 0.235 0.910
O4 O 0.390 0.500 0.250
```



# 7
# TlFeSe2O8
Calculated PXRD pattern, CuKα. Input: a DFT-relaxed cell (PBE+U, the Materials Project).
Peak positions follow from Bragg's law for the DFT cell and can differ from measured ones.

Main lines, in order of rising 2θ (2θ from 15° to 90°):
two_theta  Rel. int.  index
19.72  32  1 0 0
22.03  81  1 0 1
27.89  100  0 1 2
29.47  15  0 0 3
34.50  46  1 1 0
44.65  20  1 0 4
44.93  28  2 0 2
53.55  16  1 1 4
54.88  14  2 1 1
57.85  26  1 2 2

Crystal structure
```
data_TlFeSe2O8
_symmetry_space_group_name_H-M 'P 3 2 1'
_symmetry_Int_Tables_number 150
_cell_length_a 5.1994
_cell_length_b 5.1994
_cell_length_c 9.0941
_cell_angle_alpha 90.00
_cell_angle_beta 90.00
_cell_angle_gamma 120.00
loop_
_symmetry_equiv_pos_as_xyz
'x,y,z'
'-y,x-y,z'
'-x+y,-x,z'
'y,x,-z'
'x-y,-y,-z'
'-x,-x+y,-z'
loop_
_atom_site_label
_atom_site_type_symbol
_atom_site_fract_x
_atom_site_fract_y
_atom_site_fract_z
Tl1 Tl 0.0000 0.0000 0.0000
Fe1 Fe 0.0000 0.0000 0.5000
Se1 Se 0.3333 0.6667 0.7024
O1 O 0.0730 0.3309 0.6426
O2 O 0.3333 0.6667 0.8837
```



# 8
# Zn3Fe2Se6O18
Calculated PXRD pattern, CuKα. Input: a DFT-relaxed cell (PBE+U, the Materials Project).
Peak positions follow from Bragg's law for the DFT cell and can differ from measured ones.

Main lines, in order of rising 2θ (2θ from 15° to 90°):
two_theta  Rel. int.  index
23.55  49  3 1 0
25.21  100  1 2 1
25.48  98  1 1 -2
33.52  48  4 1 1
34.50  34  4 0 -2
36.00  26  2 3 -1
36.19  20  4 2 -1
36.31  18  0 1 3
40.22  29  4 1 2
55.83  18  1 5 1

Crystal structure
```
data_Zn3Fe2Se6O18
_symmetry_space_group_name_H-M 'P 1 21/c 1'
_symmetry_Int_Tables_number 14
_cell_length_a 12.722
_cell_length_b 8.530
_cell_length_c 7.808
_cell_angle_alpha 90.00
_cell_angle_beta 96.57
_cell_angle_gamma 90.00
loop_
_symmetry_equiv_pos_as_xyz
'x,y,z'
'-x,-y,-z'
'-x,y+1/2,-z+1/2'
'x,-y+1/2,z+1/2'
loop_
_atom_site_label
_atom_site_type_symbol
_atom_site_fract_x
_atom_site_fract_y
_atom_site_fract_z
Zn1 Zn 0.000 0.000 0.000
Zn2 Zn 0.123 0.102 0.384
Fe1 Fe 0.329 0.505 0.142
Se1 Se 0.105 0.679 0.184
Se2 Se 0.279 0.100 0.059
Se3 Se 0.455 0.696 0.866
O1 O 0.001 0.739 0.546
O2 O 0.024 0.528 0.241
O3 O 0.164 0.042 0.142
O4 O 0.177 0.587 0.034
O5 O 0.252 0.199 0.517
O6 O 0.253 0.021 0.857
O7 O 0.368 0.728 0.199
O8 O 0.384 0.531 0.915
O9 O 0.453 0.110 0.754
```